# PrNdCo2Si4
Simulated PXRD pattern, Cu Kα. Input: the PBE geometry in OQMD.
Lines closer than 0.1° are merged.

Top 10 peaks for 2θ = 15–90°, sorted by position:
24.7°, I 29, hkl 0 1 1
30.7°, I 34, hkl 1 1 0
31.0°, I 48, hkl 1 1 -1
31.6°, I 36, hkl 0 1 2
34.4°, I 100, hkl 1 0 2
35.2°, I 36, hkl 1 1 -2
35.8°, I 43, hkl 1 0 -3
40.8°, I 39, hkl 0 1 3
41.8°, I 33, hkl 2 0 -1
44.8°, I 34, hkl 0 2 0

Crystal structure
a = 4.321 Å, b = 4.042 Å, c = 8.145 Å
α = 90.00°, β = 103.17°, γ = 90.00°
Space group Pm (No. 6)
Asymmetric unit:
Pr  0.000  0.000  0.000 (multiplicity 1)
Nd  0.197  0.500  0.406 (multiplicity 1)
Co  0.467  0.500  0.817 (multiplicity 1)
Co  0.728  0.000  0.588 (multiplicity 1)
Si  0.280  0.000  0.695 (multiplicity 1)
Si  0.554  0.500  0.110 (multiplicity 1)
Si  0.644  0.000  0.297 (multiplicity 1)
Si  0.915  0.500  0.709 (multiplicity 1)


# YHo2Hg5
Simulated PXRD pattern, Cu Kα. Input: the PBE geometry in OQMD.
Lines closer than 0.1° are merged.

Top 10 peaks for 2θ = 15–90°, sorted by position:
34.2°, I 23, hkl 0 0 4
34.9°, I 100, hkl 1 2 2
35.2°, I 27, hkl 2 0 0
49.9°, I 16, hkl 2 0 4
50.3°, I 8, hkl 0 4 0
61.7°, I 12, hkl 1 2 6
62.3°, I 7, hkl 0 4 4
62.9°, I 27, hkl 3 2 2
73.6°, I 9, hkl 2 4 4
84.4°, I 6, hkl 1 6 2

Crystal structure
a = 5.098 Å, b = 7.252 Å, c = 10.481 Å
α = 90.00°, β = 90.00°, γ = 90.00°
Space group Amm2 (No. 38)
Asymmetric unit:
Y  0.000  0.000  0.000 (multiplicity 2)
Ho  0.000  0.000  0.560 (multiplicity 2)
Ho  0.500  0.000  0.255 (multiplicity 2)
Hg  0.000  0.219  0.282 (multiplicity 4)
Hg  0.500  0.000  0.761 (multiplicity 2)
Hg  0.500  0.243  0.505 (multiplicity 4)


# KCoAu3C6N6
Simulated PXRD pattern, Cu Kα. Input: the PBE geometry in OQMD.
Lines closer than 0.1° are merged.

Top 10 peaks for 2θ = 15–90°, sorted by position:
19.3°, I 85, hkl 1 0 1
23.3°, I 44, hkl 0 0 2
29.3°, I 42, hkl 2 -1 1
31.0°, I 69, hkl 2 0 0
33.2°, I 100, hkl 2 0 1
39.2°, I 83, hkl 2 0 2
47.7°, I 41, hkl 0 0 4
58.0°, I 27, hkl 2 0 4
60.7°, I 31, hkl 4 -2 2
69.8°, I 26, hkl 4 0 2

Crystal structure
a = 6.6559 Å, b = 6.6559 Å, c = 7.6229 Å
α = 90.00°, β = 90.00°, γ = 120.00°
Space group P312 (No. 149)
Asymmetric unit:
K  0.0000  0.0000  0.0000 (multiplicity 1)
Co  0.6667  0.3333  0.0000 (multiplicity 1)
Au  0.1715  0.3430  0.5000 (multiplicity 3)
C  0.0092  0.3425  0.2814 (multiplicity 6)
N  0.4344  0.0965  0.1568 (multiplicity 6)


# Gd2Be2SiGe
Simulated PXRD pattern, Cu Kα. Input: the PBE geometry in OQMD.
Lines closer than 0.1° are merged.

Top 10 peaks for 2θ = 15–90°, sorted by position:
21.7°, I 14, hkl 0 0 2
26.3°, I 47, hkl 1 0 0
34.3°, I 100, hkl 1 0 2
44.3°, I 11, hkl 0 0 4
46.3°, I 28, hkl 1 1 0
52.2°, I 15, hkl 1 0 4
58.9°, I 21, hkl 2 0 2
66.0°, I 20, hkl 1 1 4
75.0°, I 10, hkl 1 0 6
78.1°, I 19, hkl 2 1 2

Crystal structure
a = 3.9196 Å, b = 3.9196 Å, c = 8.1854 Å
α = 90.00°, β = 90.00°, γ = 120.00°
Space group P-6m2 (No. 187)
Asymmetric unit:
Gd  0.0000  0.0000  0.2475 (multiplicity 2)
Be  0.3333  0.6667  0.0000 (multiplicity 1)
Be  0.6667  0.3333  0.5000 (multiplicity 1)
Si  0.6667  0.3333  0.0000 (multiplicity 1)
Ge  0.3333  0.6667  0.5000 (multiplicity 1)


# Al7Ni8
Simulated PXRD pattern, Cu Kα. Input: the PBE geometry in OQMD.
Lines closer than 0.1° are merged.

Top 10 peaks for 2θ = 15–90°, sorted by position:
37.0°, I 47, hkl 0 0 2
42.6°, I 21, hkl 2 0 2
42.8°, I 54, hkl 4 1 0
43.9°, I 29, hkl 2 1 2
44.1°, I 25, hkl 3 3 0
46.8°, I 100, hkl 4 1 1
47.6°, I 30, hkl 2 2 2
48.1°, I 37, hkl 3 3 1
73.6°, I 24, hkl 4 1 3
74.5°, I 18, hkl 3 3 3

Crystal structure
a = 8.720 Å, b = 8.720 Å, c = 4.862 Å
α = 90.00°, β = 90.00°, γ = 90.00°
Space group P4_2/mnm (No. 136)
Asymmetric unit:
Al  0.000  0.000  0.000 (multiplicity 2)
Al  0.105  0.105  0.500 (multiplicity 4)
Al  0.199  0.801  0.251 (multiplicity 8)
Ni  0.031  0.362  0.500 (multiplicity 8)
Ni  0.051  0.262  0.000 (multiplicity 8)


# Li3OsO4
Simulated PXRD pattern, Cu Kα. Input: the PBE geometry in OQMD.
Lines closer than 0.1° are merged.

Top 10 peaks for 2θ = 15–90°, sorted by position:
18.0°, I 100, hkl 0 0 1
18.7°, I 94, hkl 2 0 0
23.1°, I 57, hkl 2 0 -1
28.7°, I 31, hkl 2 0 1
31.8°, I 49, hkl 1 1 0
35.8°, I 36, hkl 1 1 -1
37.8°, I 26, hkl 4 0 0
41.9°, I 23, hkl 3 1 0
43.3°, I 44, hkl 3 1 -1
44.8°, I 20, hkl 2 0 2

Crystal structure
a = 9.726 Å, b = 2.944 Å, c = 5.041 Å
α = 90.00°, β = 102.10°, γ = 90.00°
Space group C2/m (No. 12)
Asymmetric unit:
Li  0.000  0.000  0.000 (multiplicity 2)
Li  0.246  0.500  0.226 (multiplicity 4)
Os  0.000  0.500  0.500 (multiplicity 2)
O  0.119  0.500  0.856 (multiplicity 4)
O  0.120  0.000  0.385 (multiplicity 4)


# GdYFe2Pb
Simulated PXRD pattern, Cu Kα. Input: the PBE geometry in OQMD.
Lines closer than 0.1° are merged.

Top 10 peaks for 2θ = 15–90°, sorted by position:
29.5°, I 46, hkl 0 1 3
33.2°, I 100, hkl 1 1 1
34.1°, I 71, hkl 1 0 4
38.9°, I 36, hkl 0 1 5
46.5°, I 20, hkl 0 2 0
47.1°, I 19, hkl 2 0 0
56.0°, I 16, hkl 1 1 7
56.6°, I 16, hkl 2 1 3
58.9°, I 29, hkl 1 2 4
62.7°, I 17, hkl 2 1 5

Crystal structure
a = 3.857 Å, b = 3.908 Å, c = 14.352 Å
α = 90.00°, β = 90.00°, γ = 90.00°
Space group Amm2 (No. 38)
Asymmetric unit:
Gd  0.000  0.000  0.000 (multiplicity 2)
Y  0.000  0.000  0.726 (multiplicity 2)
Fe  0.500  0.000  0.156 (multiplicity 2)
Fe  0.500  0.000  0.569 (multiplicity 2)
Pb  0.500  0.000  0.362 (multiplicity 2)


# NaNbO2F2
Simulated PXRD pattern, Cu Kα. Input: the PBE geometry in OQMD.
Lines closer than 0.1° are merged.

Top 10 peaks for 2θ = 15–90°, sorted by position:
20.3°, I 93, hkl 1 1 0
24.1°, I 31, hkl 0 0 2
24.6°, I 47, hkl 1 0 -2
28.6°, I 100, hkl 2 1 0
29.4°, I 66, hkl 0 1 2
33.4°, I 23, hkl 1 1 2
49.3°, I 20, hkl 3 2 0
50.3°, I 24, hkl 2 0 -4
50.7°, I 31, hkl 2 2 2
52.4°, I 18, hkl 0 1 4

Crystal structure
a = 7.863 Å, b = 5.328 Å, c = 7.544 Å
α = 90.00°, β = 101.28°, γ = 90.00°
Space group P2_1/c (No. 14)
Asymmetric unit:
Na  0.143  0.221  0.377 (multiplicity 4)
Nb  0.344  0.725  0.178 (multiplicity 4)
O  0.323  0.637  0.938 (multiplicity 4)
O  0.448  0.080  0.797 (multiplicity 4)
F  0.114  0.544  0.185 (multiplicity 4)
F  0.183  0.021  0.112 (multiplicity 4)


# Hg2AsI
Simulated PXRD pattern, Cu Kα. Input: the PBE geometry in OQMD.
Lines closer than 0.1° are merged.

Top 10 peaks for 2θ = 15–90°, sorted by position:
21.8°, I 27, hkl 1 2 0
22.2°, I 46, hkl 2 0 0
27.3°, I 100, hkl 1 1 2
30.4°, I 45, hkl 1 3 0
31.9°, I 20, hkl 1 2 2
40.5°, I 20, hkl 3 2 1
42.2°, I 19, hkl 3 1 2
44.9°, I 37, hkl 0 4 2
45.5°, I 18, hkl 3 2 2
50.6°, I 22, hkl 2 4 2

Crystal structure
a = 8.025 Å, b = 9.465 Å, c = 7.733 Å
α = 90.00°, β = 90.00°, γ = 90.00°
Space group Pna2_1 (No. 33)
Asymmetric unit:
Hg  0.000  0.000  0.000 (multiplicity 4)
Hg  0.044  0.366  0.251 (multiplicity 4)
As  0.128  0.866  0.750 (multiplicity 4)
I  0.119  0.369  0.748 (multiplicity 4)